# Pr2Dy2YHo
Calculated powder diffractogram, Cu Kα (λ = 1.5418 Å). Input: a DFT-relaxed cell (PBE, Alexandria).

Main lines, low angle first (10° ≤ 2θ ≤ 90°):
- hkl 2 0 0, 2θ 25.19, I = 12
- hkl 2 1 1, 2θ 31.15, I = 83
- hkl 0 2 0, 2θ 31.47, I = 100
- hkl 2 2 0, 2θ 40.73, I = 21
- hkl 2 0 4, 2θ 44.87, I = 30
- hkl 2 3 1, 2θ 55.83, I = 32
- hkl 0 3 3, 2θ 56.03, I = 19
- hkl 4 2 0, 2θ 61.81, I = 29
- hkl 4 3 3, 2θ 79.76, I = 9
- hkl 4 4 0, 2θ 88.22, I = 11

Cell and atoms:
a b c (Å): 7.0699 5.6796 9.8568
angles (deg): 90.00 90.00 90.00
Space group Pmma (No. 51)
One atom of each set of equivalent atoms:
Pr (0.0000, 0.0000, 0.0000) (multiplicity 2)
Pr (0.2500, 0.5000, 0.1760) (multiplicity 2)
Dy (0.2500, 0.0000, 0.3331) (multiplicity 2)
Dy (0.2500, 0.5000, 0.8358) (multiplicity 2)
Y (0.0000, 0.5000, 0.5000) (multiplicity 2)
Ho (0.2500, 0.0000, 0.6601) (multiplicity 2)